(1)
The following is a simulated powder diffraction line list of Cu3F4. It was derived from DFT lattice parameters and positions (GGA-PBE), using Cu Kα X-rays.

a = 4.3125 Å, b = 4.3125 Å, c = 4.5890 Å
α = 90.00°, β = 90.00°, γ = 90.00°
Space group P-42m (No. 111)
Unique sites:
1 Cu 0.0000 0.0000 0.0000 (multiplicity 1)
2 Cu 0.0000 0.5000 0.5000 (multiplicity 2)
3 F 0.2826 0.2826 0.7792 (multiplicity 4)

Main lines, sorted by position (2θ from 10° to 90°):
2θ 28.40, 3.143 Å, intensity 16
2θ 35.34, 2.540 Å, intensity 100
2θ 41.90, 2.156 Å, intensity 12
2θ 58.76, 1.571 Å, intensity 30
2θ 60.75, 1.525 Å, intensity 13
2θ 72.28, 1.307 Å, intensity 20

***

(2)
The following is a simulated powder diffraction line list of Re5Ni. It was derived from DFT lattice parameters and positions (GGA-PBE), using Cu Kα X-rays.

a = 5.0681 Å, b = 8.4432 Å, c = 8.1349 Å
α = 90.00°, β = 90.00°, γ = 90.00°
Space group Cmcm (No. 63)
Unique sites:
1 Re 0.0000 0.0000 0.0000 (multiplicity 4)
2 Re 0.0000 0.3362 0.0645 (multiplicity 8)
3 Re 0.2392 0.4134 0.7500 (multiplicity 8)
4 Ni 0.0000 0.1695 0.7500 (multiplicity 4)

Main lines, sorted by position (2θ from 10° to 90°):
2θ 36.52, 2.460 Å, intensity 64
2θ 39.16, 2.300 Å, intensity 60
2θ 39.50, 2.282 Å, intensity 72
2θ 42.01, 2.151 Å, intensity 100
2θ 42.96, 2.105 Å, intensity 86
2θ 43.09, 2.099 Å, intensity 88